# NaTbCuTe2
Calculated PXRD pattern, copper Kα. Input: DFT lattice parameters and positions (GGA-PBE).
Peak positions follow from Bragg's law for the DFT cell and can differ from measured ones.

Top 10 peaks for 2θ from 10° to 80°, low angle first:
d 7.750, I 100, hkl 1 0 0
d 4.595, I 27, hkl 0 1 0
d 3.669, I 52, hkl 1 1 -1
d 3.463, I 65, hkl 1 1 1
d 3.048, I 48, hkl 2 0 -2
d 2.960, I 32, hkl 1 1 -2
d 2.748, I 46, hkl 1 1 2
d 2.540, I 41, hkl 2 1 -2
d 2.285, I 27, hkl 2 1 2
d 1.976, I 41, hkl 2 2 0

Structural model:
```
data_NaTbCuTe2
_chemical_formula_sum 'Na2 Tb2 Cu2 Te4'
_cell_length_a 7.8325
_cell_length_b 4.5949
_cell_length_c 8.3040
_cell_angle_alpha 90.00
_cell_angle_beta 98.34
_cell_angle_gamma 90.00
_space_group_name_H-M_alt 'P 1 2/c 1'
_space_group_IT_number 13
loop_
_space_group_symop_operation_xyz
'x,y,z'
'-x,-y,-z'
'-x,y,-z+1/2'
'x,-y,z+1/2'
loop_
_atom_site_label
_atom_site_fract_x
_atom_site_fract_y
_atom_site_fract_z
_atom_site_occupancy
Na1 0.0000 0.1738 0.2500 1
Tb1 0.5000 0.4952 0.7500 1
Cu1 0.5000 0.0000 0.0000 1
Te1 0.2311 0.3048 0.9659 1
```


# Ac13Pm3
Calculated PXRD pattern, copper Kα. Input: DFT lattice parameters and positions (GGA-PBE).
Peak positions follow from Bragg's law for the DFT cell and can differ from measured ones.

Top 10 peaks for 2θ from 10° to 80°, low angle first:
d 3.212, I 100, hkl 2 2 2
d 2.800, I 17, hkl 4 0 0
d 2.779, I 17, hkl 0 0 4
d 2.767, I 17, hkl 0 4 0
d 1.972, I 13, hkl 4 0 4
d 1.968, I 13, hkl 4 4 0
d 1.686, I 16, hkl 6 2 2
d 1.676, I 16, hkl 2 2 6
d 1.671, I 15, hkl 2 6 2
d 1.606, I 14, hkl 4 4 4

Structural model:
```
data_Ac13Pm3
_chemical_formula_sum 'Ac26 Pm6'
_cell_length_a 11.2008
_cell_length_b 11.0667
_cell_length_c 11.1158
_cell_angle_alpha 90.00
_cell_angle_beta 90.00
_cell_angle_gamma 90.00
_space_group_name_H-M_alt 'A m m 2'
_space_group_IT_number 38
loop_
_space_group_symop_operation_xyz
'x,y,z'
'-x,-y,z'
'-x,y,z'
'x,-y,z'
'x,y+1/2,z+1/2'
'-x,-y+1/2,z+1/2'
'-x,y+1/2,z+1/2'
'x,-y+1/2,z+1/2'
loop_
_atom_site_label
_atom_site_fract_x
_atom_site_fract_y
_atom_site_fract_z
_atom_site_occupancy
Ac1 0.0000 0.0000 0.0000 1
Ac2 0.0000 0.0000 0.4923 1
Ac3 0.0000 0.2457 0.2461 1
Ac4 0.2519 0.0000 0.7472 1
Ac5 0.2532 0.2474 0.9959 1
Ac6 0.5000 0.0000 0.4921 1
Ac7 0.5000 0.2455 0.2445 1
Pm1 0.2541 0.0000 0.2433 1
Pm2 0.5000 0.0000 0.9992 1
```


# Li3Zn3Ga
Calculated PXRD pattern, copper Kα. Input: DFT lattice parameters and positions (GGA-PBE).
Peak positions follow from Bragg's law for the DFT cell and can differ from measured ones.

Top 10 peaks for 2θ from 10° to 80°, low angle first:
d 5.097, I 41, hkl 0 0 2
d 4.926, I 21, hkl 2 0 0
d 4.435, I 16, hkl 2 0 1
d 3.732, I 25, hkl 1 1 1
d 3.278, I 22, hkl 2 1 0
d 3.212, I 18, hkl 1 0 3
d 2.195, I 32, hkl 0 2 0
d 2.150, I 100, hkl 4 1 0
d 2.080, I 25, hkl 3 1 3
d 2.014, I 27, hkl 3 0 4

Structural model:
```
data_Li3Zn3Ga
_chemical_formula_sum 'Li12 Zn12 Ga4'
_cell_length_a 9.8517
_cell_length_b 4.3906
_cell_length_c 10.1935
_cell_angle_alpha 90.00
_cell_angle_beta 90.00
_cell_angle_gamma 90.00
_space_group_name_H-M_alt 'P n m a'
_space_group_IT_number 62
loop_
_space_group_symop_operation_xyz
'x,y,z'
'-x,-y,-z'
'-x+1/2,-y,z+1/2'
'x+1/2,y,-z+1/2'
'x+1/2,-y+1/2,-z+1/2'
'-x+1/2,y+1/2,z+1/2'
'-x,y+1/2,-z'
'x,-y+1/2,z'
loop_
_atom_site_label
_atom_site_fract_x
_atom_site_fract_y
_atom_site_fract_z
_atom_site_occupancy
Li1 0.0197 0.2500 0.1839 1
Li2 0.1859 0.2500 0.6580 1
Li3 0.2447 0.2500 0.3427 1
Zn1 0.0314 0.7500 0.5703 1
Zn2 0.0659 0.7500 0.0557 1
Zn3 0.2019 0.2500 0.9825 1
Ga1 0.0886 0.7500 0.3183 1
```


# NiBi2As2
Calculated PXRD pattern, copper Kα. Input: DFT lattice parameters and positions (GGA-PBE).
Peak positions follow from Bragg's law for the DFT cell and can differ from measured ones.

Top 10 peaks for 2θ from 10° to 80°, low angle first:
d 6.067, I 38, hkl 0 0 1
d 3.118, I 39, hkl 2 0 0
d 3.033, I 89, hkl 0 0 2
d 2.789, I 100, hkl 2 1 0
d 2.773, I 77, hkl 2 0 1
d 2.174, I 29, hkl 2 0 2
d 2.053, I 84, hkl 2 1 2
d 1.653, I 24, hkl 3 1 2
d 1.513, I 23, hkl 4 1 0
d 1.354, I 32, hkl 4 1 2

Structural model:
```
data_NiBi2As2
_chemical_formula_sum 'Ni2 Bi4 As4'
_cell_length_a 6.2368
_cell_length_b 6.2368
_cell_length_c 6.0667
_cell_angle_alpha 90.00
_cell_angle_beta 90.00
_cell_angle_gamma 90.00
_space_group_name_H-M_alt 'P 4/m b m'
_space_group_IT_number 127
_space_group_name_Hall '-P 4 2ab'
loop_
_atom_site_label
_atom_site_fract_x
_atom_site_fract_y
_atom_site_fract_z
_atom_site_occupancy
Ni1 0.0000 0.0000 0.0000 1
Bi1 0.1923 0.3077 0.5000 1
As1 0.1473 0.3527 0.0000 1
```


# La5NdS6
Calculated PXRD pattern, copper Kα. Input: DFT lattice parameters and positions (GGA-PBE).
Peak positions follow from Bragg's law for the DFT cell and can differ from measured ones.

Top 10 peaks for 2θ from 10° to 80°, low angle first:
d 3.382, I 70, hkl 2 0 0
d 2.928, I 100, hkl 1 3 1
d 2.072, I 61, hkl 0 6 0
d 2.066, I 12, hkl 2 0 2
d 1.767, I 24, hkl 2 6 0
d 1.764, I 12, hkl 3 3 1
d 1.693, I 13, hkl 2 6 -2
d 1.689, I 13, hkl 4 0 0
d 1.464, I 12, hkl 2 6 2
d 1.310, I 21, hkl 4 6 0

Structural model:
```
data_La5NdS6
_chemical_formula_sum 'La10 Nd2 S12'
_cell_length_a 7.1724
_cell_length_b 12.4417
_cell_length_c 7.1717
_cell_angle_alpha 90.00
_cell_angle_beta 109.64
_cell_angle_gamma 90.00
_space_group_name_H-M_alt 'C 1 2/m 1'
_space_group_IT_number 12
loop_
_space_group_symop_operation_xyz
'x,y,z'
'-x,-y,-z'
'-x,y,-z'
'x,-y,z'
'x+1/2,y+1/2,z'
'-x+1/2,-y+1/2,-z'
'-x+1/2,y+1/2,-z'
'x+1/2,-y+1/2,z'
loop_
_atom_site_label
_atom_site_fract_x
_atom_site_fract_y
_atom_site_fract_z
_atom_site_occupancy
La1 0.0000 0.0000 0.0000 1
La2 0.0000 0.1663 0.5000 1
La3 0.0000 0.3329 0.0000 1
Nd1 0.0000 0.5000 0.5000 1
S1 0.2479 0.3345 0.7479 1
S2 0.2477 0.5000 0.2512 1
```


# MgTl2Hg2
Calculated PXRD pattern, copper Kα. Input: DFT lattice parameters and positions (GGA-PBE).
Peak positions follow from Bragg's law for the DFT cell and can differ from measured ones.

Top 10 peaks for 2θ from 10° to 80°, low angle first:
d 3.411, I 10, hkl 1 0 1
d 3.120, I 34, hkl 1 0 3
d 2.729, I 18, hkl 0 0 8
d 2.708, I 100, hkl 1 0 5
d 2.442, I 48, hkl 1 1 0
d 1.820, I 24, hkl 1 1 8
d 1.727, I 17, hkl 2 0 0
d 1.510, I 26, hkl 1 0 13
d 1.459, I 15, hkl 2 0 8
d 1.456, I 31, hkl 2 1 5

Structural model:
```
data_MgTl2Hg2
_chemical_formula_sum 'Mg2 Tl4 Hg4'
_cell_length_a 3.4532
_cell_length_b 3.4532
_cell_length_c 21.8284
_cell_angle_alpha 90.00
_cell_angle_beta 90.00
_cell_angle_gamma 90.00
_space_group_name_H-M_alt 'I 4/m m m'
_space_group_IT_number 139
_space_group_name_Hall '-I 4 2'
loop_
_atom_site_label
_atom_site_fract_x
_atom_site_fract_y
_atom_site_fract_z
_atom_site_occupancy
Mg1 0.0000 0.0000 0.0000 1
Tl1 0.0000 0.0000 0.1888 1
Hg1 0.0000 0.0000 0.4189 1
```


What did the sixth record say?
# MgTl2Hg2
Calculated PXRD pattern, copper Kα. Input: DFT lattice parameters and positions (GGA-PBE).
Peak positions follow from Bragg's law for the DFT cell and can differ from measured ones.

Top 10 peaks for 2θ from 10° to 80°, low angle first:
d 3.411, I 10, hkl 1 0 1
d 3.120, I 34, hkl 1 0 3
d 2.729, I 18, hkl 0 0 8
d 2.708, I 100, hkl 1 0 5
d 2.442, I 48, hkl 1 1 0
d 1.820, I 24, hkl 1 1 8
d 1.727, I 17, hkl 2 0 0
d 1.510, I 26, hkl 1 0 13
d 1.459, I 15, hkl 2 0 8
d 1.456, I 31, hkl 2 1 5

Structural model:
```
data_MgTl2Hg2
_chemical_formula_sum 'Mg2 Tl4 Hg4'
_cell_length_a 3.4532
_cell_length_b 3.4532
_cell_length_c 21.8284
_cell_angle_alpha 90.00
_cell_angle_beta 90.00
_cell_angle_gamma 90.00
_space_group_name_H-M_alt 'I 4/m m m'
_space_group_IT_number 139
_space_group_name_Hall '-I 4 2'
loop_
_atom_site_label
_atom_site_fract_x
_atom_site_fract_y
_atom_site_fract_z
_atom_site_occupancy
Mg1 0.0000 0.0000 0.0000 1
Tl1 0.0000 0.0000 0.1888 1
Hg1 0.0000 0.0000 0.4189 1
```


Q: What is the formula in the sixth record?
A: MgTl2Hg2